# Cd5In3
Computed XRD peak list, Cu Kα. Input: a DFT-relaxed cell (PBE, Alexandria).
No peak broadening, texture or thermal motion is included.

abc: 8.9953 8.9982 4.8421
angles: 90.00 90.00 90.00
Fractional positions:
Cd 0.0000 0.0000 0.0000
Cd 0.2488 0.0000 0.5000
Cd 0.2500 0.2500 0.0000
Cd 0.2500 0.7500 0.0000
Cd 0.2512 0.5000 0.5000
Cd 0.5000 0.5000 0.0000
Cd 0.7488 0.5000 0.5000
Cd 0.7500 0.2500 0.0000
Cd 0.7500 0.7500 0.0000
Cd 0.7512 0.0000 0.5000
In 0.0000 0.2481 0.5000
In 0.0000 0.5000 0.0000
In 0.0000 0.7519 0.5000
In 0.5000 0.0000 0.0000
In 0.5000 0.2519 0.5000
In 0.5000 0.7481 0.5000

The 10 most intense peaks (2θ = 15–90°), low angle first:
2θ = 33.7°, intensity 100
2θ = 37.1°, intensity 19
2θ = 40.1°, intensity 31
2θ = 55.8°, intensity 23
2θ = 58.0°, intensity 10
2θ = 64.8°, intensity 14
2θ = 68.8°, intensity 23
2θ = 70.9°, intensity 11
2θ = 79.1°, intensity 2
2θ = 86.6°, intensity 3

---

# La12Er7Mg
Computed XRD peak list, Cu Kα. Input: a DFT-relaxed cell (PBE, Alexandria).
No peak broadening, texture or thermal motion is included.

abc: 10.0753 10.0753 10.0753
angles: 109.47 109.47 109.47
Fractional positions:
La 0.0726 0.2855 0.7871
La 0.2129 0.4984 0.2855
La 0.2129 0.9274 0.7145
La 0.2855 0.2129 0.4984
La 0.2855 0.7871 0.0726
La 0.4984 0.2855 0.2129
La 0.5016 0.7145 0.7871
La 0.7145 0.2129 0.9274
La 0.7145 0.7871 0.5016
La 0.7871 0.0726 0.2855
La 0.7871 0.5016 0.7145
La 0.9274 0.7145 0.2129
Er 0.0000 0.0000 0.5000
Er 0.0000 0.5000 0.0000
Er 0.0000 0.5000 0.5000
Er 0.5000 0.0000 0.0000
Er 0.5000 0.0000 0.5000
Er 0.5000 0.5000 0.0000
Er 0.5000 0.5000 0.5000
Mg 0.0000 0.0000 0.0000

The 10 most intense peaks (2θ = 15–90°), low angle first:
2θ = 15.2°, intensity 31
2θ = 21.6°, intensity 34
2θ = 24.2°, intensity 29
2θ = 26.5°, intensity 48
2θ = 28.7°, intensity 30
2θ = 30.7°, intensity 100
2θ = 37.9°, intensity 42
2θ = 44.0°, intensity 55
2θ = 48.2°, intensity 24
2θ = 68.4°, intensity 28

---

# Dy2Ho5Th3
Computed XRD peak list, Cu Kα. Input: a DFT-relaxed cell (PBE, Alexandria).
No peak broadening, texture or thermal motion is included.

abc: 6.1277 6.1277 11.2430
angles: 90.48 90.48 48.37
Fractional positions:
Dy 0.0974 0.0974 0.2986
Dy 0.9026 0.9026 0.7014
Ho 0.1998 0.1998 0.6012
Ho 0.3002 0.3002 0.9003
Ho 0.5000 0.5000 0.5000
Ho 0.6998 0.6998 0.0997
Ho 0.8002 0.8002 0.3988
Th 0.0000 0.0000 0.0000
Th 0.4011 0.4011 0.2005
Th 0.5989 0.5989 0.7995

The 10 most intense peaks (2θ = 15–90°), low angle first:
2θ = 30.9°, intensity 100
2θ = 30.9°, intensity 100
2θ = 35.6°, intensity 34
2θ = 35.8°, intensity 34
2θ = 36.0°, intensity 33
2θ = 51.6°, intensity 36
2θ = 61.1°, intensity 29
2θ = 61.2°, intensity 29
2θ = 61.6°, intensity 28
2θ = 64.3°, intensity 25

---

# Cr4GaS8
Computed XRD peak list, Cu Kα. Input: a DFT-relaxed cell (PBE, Alexandria).
No peak broadening, texture or thermal motion is included.

abc: 6.6834 6.6834 6.6834
angles: 60.00 60.00 60.00
Fractional positions:
Cr 0.1017 0.1017 0.1017
Cr 0.1017 0.1017 0.6949
Cr 0.1017 0.6949 0.1017
Cr 0.6949 0.1017 0.1017
Ga 0.5000 0.5000 0.5000
S 0.3611 0.3611 0.3611
S 0.3611 0.3611 0.9168
S 0.3611 0.9168 0.3611
S 0.3892 0.8703 0.8703
S 0.8703 0.3892 0.8703
S 0.8703 0.8703 0.3892
S 0.8703 0.8703 0.8703
S 0.9168 0.3611 0.3611

The 10 most intense peaks (2θ = 15–90°), low angle first:
2θ = 16.2°, intensity 49
2θ = 18.8°, intensity 49
2θ = 26.7°, intensity 36
2θ = 31.4°, intensity 97
2θ = 38.1°, intensity 94
2θ = 41.7°, intensity 32
2θ = 47.1°, intensity 47
2θ = 50.2°, intensity 79
2θ = 55.0°, intensity 100
2θ = 87.6°, intensity 28

---

# Hf7Tl2Fe2
Computed XRD peak list, Cu Kα. Input: a DFT-relaxed cell (PBE, Alexandria).
No peak broadening, texture or thermal motion is included.

abc: 6.2843 6.2843 6.4581
angles: 90.00 90.00 105.23
Fractional positions:
Hf 0.0000 0.0000 0.0000
Hf 0.0000 0.5000 0.2334
Hf 0.0000 0.5000 0.7666
Hf 0.5000 0.0000 0.2334
Hf 0.5000 0.0000 0.7666
Hf 0.5000 0.5000 0.2298
Hf 0.5000 0.5000 0.7702
Tl 0.1853 0.1853 0.5000
Tl 0.8147 0.8147 0.5000
Fe 0.2848 0.7152 0.0000
Fe 0.7152 0.2848 0.0000

The 10 most intense peaks (2θ = 15–90°), low angle first:
2θ = 22.5°, intensity 20
2θ = 27.1°, intensity 28
2θ = 29.5°, intensity 57
2θ = 31.4°, intensity 56
2θ = 32.6°, intensity 25
2θ = 33.0°, intensity 39
2θ = 36.0°, intensity 68
2θ = 36.5°, intensity 21
2θ = 40.7°, intensity 37
2θ = 40.8°, intensity 100

---

# PmPr3Tc
Computed XRD peak list, Cu Kα. Input: a DFT-relaxed cell (PBE, Alexandria).
No peak broadening, texture or thermal motion is included.

abc: 10.6780 10.6780 6.5495
angles: 95.14 95.14 59.48
Fractional positions:
Pm 0.0953 0.9047 0.7500
Pm 0.3778 0.6222 0.2500
Pm 0.6222 0.3778 0.7500
Pm 0.9047 0.0953 0.2500
Pr 0.0107 0.2699 0.6502
Pr 0.0335 0.6073 0.8454
Pr 0.2699 0.0107 0.1502
Pr 0.2882 0.3633 0.4593
Pr 0.3633 0.2882 0.9593
Pr 0.3927 0.9665 0.6546
Pr 0.6073 0.0335 0.3454
Pr 0.6367 0.7118 0.0407
Pr 0.7118 0.6367 0.5407
Pr 0.7301 0.9893 0.8498
Pr 0.9665 0.3927 0.1546
Pr 0.9893 0.7301 0.3498
Tc 0.2838 0.5877 0.7024
Tc 0.4123 0.7162 0.7976
Tc 0.5877 0.2838 0.2024
Tc 0.7162 0.4123 0.2976

The 10 most intense peaks (2θ = 15–90°), low angle first:
2θ = 28.1°, intensity 55
2θ = 29.0°, intensity 58
2θ = 29.2°, intensity 87
2θ = 29.4°, intensity 37
2θ = 30.0°, intensity 100
2θ = 30.9°, intensity 35
2θ = 32.0°, intensity 51
2θ = 35.3°, intensity 36
2θ = 37.5°, intensity 43
2θ = 37.7°, intensity 38

---

# Pr3B2PdO8
Computed XRD peak list, Cu Kα. Input: a DFT-relaxed cell (PBE, Alexandria).
No peak broadening, texture or thermal motion is included.

abc: 5.1551 5.1551 7.4466
angles: 90.00 90.00 120.00
Fractional positions:
Pr 0.0000 0.0000 0.0000
Pr 0.3333 0.6667 0.7000
Pr 0.6667 0.3333 0.3000
B 0.3333 0.6667 0.1964
B 0.6667 0.3333 0.8036
Pd 0.0000 0.0000 0.5000
O 0.1768 0.3536 0.2617
O 0.1768 0.8232 0.2617
O 0.3333 0.6667 0.9957
O 0.3536 0.1768 0.7383
O 0.6464 0.8232 0.2617
O 0.6667 0.3333 0.0043
O 0.8232 0.1768 0.7383
O 0.8232 0.6464 0.7383

The 10 most intense peaks (2θ = 15–90°), low angle first:
2θ = 23.2°, intensity 55
2θ = 31.3°, intensity 100
2θ = 34.8°, intensity 81
2θ = 42.3°, intensity 30
2θ = 47.5°, intensity 41
2θ = 51.1°, intensity 14
2θ = 53.3°, intensity 15
2θ = 60.2°, intensity 29
2θ = 62.4°, intensity 15
2θ = 73.5°, intensity 15

---

# CaSm3Y2
Computed XRD peak list, Cu Kα. Input: a DFT-relaxed cell (PBE, Alexandria).
No peak broadening, texture or thermal motion is included.

abc: 6.8872 6.9026 9.7721
angles: 95.75 95.53 115.37
Fractional positions:
Ca 0.1786 0.4294 0.2230
Ca 0.8214 0.5706 0.7770
Sm 0.0138 0.2547 0.5583
Sm 0.3201 0.0694 0.7762
Sm 0.3489 0.5966 0.8860
Sm 0.6511 0.4034 0.1140
Sm 0.6799 0.9306 0.2238
Sm 0.9862 0.7453 0.4417
Y 0.1561 0.9047 0.1116
Y 0.4868 0.2294 0.4438
Y 0.5132 0.7706 0.5562
Y 0.8439 0.0953 0.8884

The 10 most intense peaks (2θ = 15–90°), low angle first:
2θ = 15.9°, intensity 16
2θ = 27.9°, intensity 18
2θ = 28.0°, intensity 10
2θ = 30.7°, intensity 30
2θ = 31.9°, intensity 100
2θ = 32.0°, intensity 20
2θ = 41.9°, intensity 16
2θ = 49.5°, intensity 15
2θ = 55.3°, intensity 16
2θ = 59.9°, intensity 13